No. 1
The following is a calculated X-ray diffraction stick pattern of Ca3CrN4. It was derived from the PBE geometry in Alexandria, using copper Kα.
Kinematic intensities with the Lorentz-polarization factor, no thermal factor.

```
data_Ca3CrN4
_cell_length_a 7.062
_cell_length_b 8.417
_cell_length_c 7.461
_cell_angle_alpha 90.00
_cell_angle_beta 90.00
_cell_angle_gamma 90.00
_space_group_name_H-M_alt 'P n m a'
_space_group_IT_number 62
loop_
_space_group_symop_operation_xyz
'x,y,z'
'-x,-y,-z'
'-x+1/2,-y,z+1/2'
'x+1/2,y,-z+1/2'
'x+1/2,-y+1/2,-z+1/2'
'-x+1/2,y+1/2,z+1/2'
'-x,y+1/2,-z'
'x,-y+1/2,z'
loop_
_atom_site_label
_atom_site_type_symbol
_atom_site_fract_x
_atom_site_fract_y
_atom_site_fract_z
Ca1 Ca 0.059 0.045 0.220
Ca2 Ca 0.145 0.750 0.446
Cr1 Cr 0.213 0.750 0.992
N1 N 0.014 0.250 0.918
N2 N 0.168 0.077 0.553
N3 N 0.193 0.750 0.755
```

Main lines, low angle first (2θ from 5° to 70°):
d (Å)	2θ (°)	I/Imax	h k l
4.380	20.3	33	1 1 1
2.792	32.1	100	0 2 2
2.705	33.1	51	2 2 0
2.564	35.0	51	2 0 2
2.453	36.6	21	2 1 2
2.385	37.7	25	0 1 3
2.197	41.1	50	2 3 0
2.169	41.6	21	3 1 1
2.106	43.0	45	0 4 0
1.831	49.8	24	2 2 3

No. 2
The following is a calculated X-ray diffraction stick pattern of Ca3Cr3N5. It was derived from the PBE geometry in Alexandria, using copper Kα.
Kinematic intensities with the Lorentz-polarization factor, no thermal factor.

```
data_Ca3Cr3N5
_cell_length_a 5.608
_cell_length_b 6.894
_cell_length_c 8.331
_cell_angle_alpha 108.28
_cell_angle_beta 104.62
_cell_angle_gamma 95.25
_space_group_name_H-M_alt 'P -1'
_space_group_IT_number 2
loop_
_space_group_symop_operation_xyz
'x,y,z'
'-x,-y,-z'
loop_
_atom_site_label
_atom_site_type_symbol
_atom_site_fract_x
_atom_site_fract_y
_atom_site_fract_z
Ca1 Ca 0.153 0.169 0.203
Ca2 Ca 0.166 0.371 0.885
Ca3 Ca 0.320 0.927 0.615
Cr1 Cr 0.199 0.456 0.570
Cr2 Cr 0.386 0.621 0.300
Cr3 Cr 0.406 0.824 0.968
N1 N 0.112 0.567 0.380
N2 N 0.254 0.036 0.908
N3 N 0.300 0.727 0.124
N4 N 0.332 0.213 0.508
N5 N 0.457 0.609 0.788
```

Main lines, low angle first (2θ from 5° to 70°):
d (Å)	2θ (°)	I/Imax	h k l
6.432	13.8	24	0 1 0
5.332	16.6	23	1 0 0
2.894	30.9	29	1 -1 2
2.706	33.1	59	1 2 -2
2.644	33.9	100	0 2 1
2.621	34.2	23	-2 1 1
2.594	34.6	72	1 0 -3
2.315	38.9	19	2 1 0
2.195	41.1	26	1 -1 3
2.069	43.8	28	1 -3 2

No. 3
The following is a calculated X-ray diffraction stick pattern of Ca2Cr2N3. It was derived from the PBE geometry in Alexandria, using copper Kα.
Kinematic intensities with the Lorentz-polarization factor, no thermal factor.

```
data_Ca2Cr2N3
_cell_length_a 10.281
_cell_length_b 3.250
_cell_length_c 5.586
_cell_angle_alpha 90.00
_cell_angle_beta 104.89
_cell_angle_gamma 90.00
_space_group_name_H-M_alt 'C 1 2/m 1'
_space_group_IT_number 12
loop_
_space_group_symop_operation_xyz
'x,y,z'
'-x,-y,-z'
'-x,y,-z'
'x,-y,z'
'x+1/2,y+1/2,z'
'-x+1/2,-y+1/2,-z'
'-x+1/2,y+1/2,-z'
'x+1/2,-y+1/2,z'
loop_
_atom_site_label
_atom_site_type_symbol
_atom_site_fract_x
_atom_site_fract_y
_atom_site_fract_z
Ca1 Ca 0.106 0.000 0.326
Cr1 Cr 0.158 0.500 0.902
N1 N 0.000 0.500 0.000
N2 N 0.212 0.000 0.768
```

Main lines, low angle first (2θ from 5° to 70°):
d (Å)	2θ (°)	I/Imax	h k l
5.399	16.4	57	0 0 1
2.678	33.5	47	2 0 -2
2.593	34.6	100	1 1 1
2.484	36.2	23	4 0 0
2.286	39.4	87	3 1 -1
2.151	42.0	31	2 0 2
1.957	46.4	19	1 1 2
1.625	56.6	20	0 2 0
1.612	57.1	22	1 1 -3
1.396	67.0	15	5 1 -3